For Bi3IO4, a DFT-relaxed cell (PBE, the Materials Project) gives the theoretical powder XRD pattern in this record (Cu Kα, 1.54184 Å).
No peak broadening, texture or thermal motion is included.

Principal peaks in the range 2θ = 15–90°, in order of rising 2θ:
d 3.197, intensity 100; d 2.952, intensity 15; d 2.931, intensity 16; d 2.614, intensity 9; d 2.499, intensity 11; d 2.080, intensity 12; d 1.907, intensity 9; d 1.902, intensity 11; d 1.739, intensity 12; d 1.547, intensity 9

Atomic structure:
```
Bi3IO4
1.0
5.862 0.000 0.000
0.000 19.995 0.000
0.000 0.000 5.904
Bi I O
12 4 16
direct
0.202 0.136 0.202 Bi
0.202 0.364 0.298 Bi
0.250 0.000 0.698 Bi
0.250 0.500 0.802 Bi
0.298 0.636 0.298 Bi
0.298 0.864 0.202 Bi
0.702 0.136 0.798 Bi
0.702 0.364 0.702 Bi
0.750 0.000 0.302 Bi
0.750 0.500 0.198 Bi
0.798 0.636 0.702 Bi
0.798 0.864 0.798 Bi
0.224 0.250 0.750 I
0.276 0.750 0.750 I
0.724 0.250 0.250 I
0.776 0.750 0.250 I
0.014 0.586 0.457 O
0.014 0.914 0.043 O
0.074 0.061 0.431 O
0.074 0.439 0.069 O
0.426 0.561 0.069 O
0.426 0.939 0.431 O
0.486 0.086 0.043 O
0.486 0.414 0.457 O
0.514 0.586 0.543 O
0.514 0.914 0.957 O
0.574 0.061 0.569 O
0.574 0.439 0.931 O
0.926 0.561 0.931 O
0.926 0.939 0.569 O
0.986 0.086 0.957 O
0.986 0.414 0.543 O
```



For PaBr3O, a DFT-relaxed cell (PBE, the Materials Project) gives the theoretical powder XRD pattern in this record (Cu Kα, 1.54184 Å).
No peak broadening, texture or thermal motion is included.

Principal peaks in the range 2θ = 15–90°, in order of rising 2θ:
d 4.522, intensity 45; d 3.465, intensity 100; d 3.127, intensity 52; d 3.012, intensity 25; d 2.970, intensity 48; d 2.822, intensity 27; d 2.378, intensity 26; d 2.276, intensity 24; d 2.149, intensity 26; d 2.018, intensity 31

Atomic structure:
```
PaBr3O
1.0
9.058 -2.018 0.000
9.058 2.018 0.000
-4.380 0.000 9.037
Pa Br O
2 6 2
direct
0.196 0.196 0.324 Pa
0.804 0.804 0.676 Pa
0.055 0.055 0.346 Br
0.326 0.326 0.262 Br
0.379 0.379 0.914 Br
0.621 0.621 0.086 Br
0.674 0.674 0.738 Br
0.945 0.945 0.654 Br
0.271 0.271 0.581 O
0.729 0.729 0.419 O
```



For MgSnBiO4, a DFT-relaxed cell (PBE, the Materials Project) gives the theoretical powder XRD pattern in this record (Cu Kα, 1.54184 Å).
No peak broadening, texture or thermal motion is included.

Principal peaks in the range 2θ = 15–90°, in order of rising 2θ:
d 4.185, intensity 100; d 2.699, intensity 60; d 2.586, intensity 32; d 2.343, intensity 43; d 2.325, intensity 21; d 2.045, intensity 31; d 1.736, intensity 20; d 1.657, intensity 14; d 1.650, intensity 28; d 1.412, intensity 19

Atomic structure:
```
MgSnBiO4
1.0
-2.343 2.343 4.650
2.343 -2.343 4.650
2.343 2.343 -4.650
Mg Sn Bi O
1 1 1 4
direct
0.000 0.000 0.000 Mg
0.250 0.750 0.500 Sn
0.500 0.500 0.000 Bi
0.010 0.510 0.500 O
0.232 0.232 0.000 O
0.490 0.990 0.500 O
0.768 0.768 0.000 O
```



For Ba3SiO, a DFT-relaxed cell (PBE, the Materials Project) gives the theoretical powder XRD pattern in this record (Cu Kα, 1.54184 Å).
No peak broadening, texture or thermal motion is included.

Principal peaks in the range 2θ = 15–90°, in order of rising 2θ:
d 5.429, intensity 36; d 3.395, intensity 26; d 3.307, intensity 28; d 3.264, intensity 61; d 3.240, intensity 34; d 3.174, intensity 100; d 3.096, intensity 68; d 2.925, intensity 33; d 2.714, intensity 84; d 1.843, intensity 42

Atomic structure:
```
Ba3SiO
1.0
7.822 0.000 0.000
0.000 10.864 0.000
0.000 0.000 7.537
Ba Si O
12 4 4
direct
0.020 0.250 0.080 Ba
0.201 0.042 0.704 Ba
0.201 0.458 0.704 Ba
0.299 0.542 0.204 Ba
0.299 0.958 0.204 Ba
0.480 0.750 0.580 Ba
0.520 0.250 0.420 Ba
0.701 0.042 0.796 Ba
0.701 0.458 0.796 Ba
0.799 0.542 0.296 Ba
0.799 0.958 0.296 Ba
0.980 0.750 0.920 Ba
0.053 0.750 0.483 Si
0.447 0.250 0.983 Si
0.553 0.750 0.017 Si
0.947 0.250 0.517 Si
0.000 0.000 0.000 O
0.000 0.500 0.000 O
0.500 0.000 0.500 O
0.500 0.500 0.500 O
```



For ZrNb4CN4, a DFT-relaxed cell (PBE, the Materials Project) gives the theoretical powder XRD pattern in this record (Cu Kα, 1.54184 Å).
No peak broadening, texture or thermal motion is included.

Principal peaks in the range 2θ = 15–90°, in order of rising 2θ:
d 2.599, intensity 100; d 2.251, intensity 84; d 1.592, intensity 53; d 1.358, intensity 30; d 1.357, intensity 10; d 1.301, intensity 4; d 1.299, intensity 13; d 1.126, intensity 8

Atomic structure:
```
ZrNb4CN4
1.0
1.591 0.918 13.012
-1.591 0.918 13.012
0.000 -1.837 13.012
Zr Nb C N
1 4 1 4
direct
0.000 0.000 0.000 Zr
0.199 0.199 0.199 Nb
0.400 0.400 0.400 Nb
0.597 0.597 0.597 Nb
0.800 0.800 0.800 Nb
0.702 0.702 0.702 C
0.102 0.102 0.102 N
0.297 0.297 0.297 N
0.500 0.500 0.500 N
0.898 0.898 0.898 N
```



For In5Se5Cl, a DFT-relaxed cell (PBE, the Materials Project) gives the theoretical powder XRD pattern in this record (Cu Kα, 1.54184 Å).
No peak broadening, texture or thermal motion is included.

Principal peaks in the range 2θ = 15–90°, in order of rising 2θ:
d 4.462, intensity 48; d 3.725, intensity 38; d 3.109, intensity 41; d 3.080, intensity 42; d 3.042, intensity 71; d 2.929, intensity 100; d 2.865, intensity 67; d 2.717, intensity 37; d 2.503, intensity 99; d 2.089, intensity 74

Atomic structure:
```
In5Se5Cl
1.0
9.393 0.000 0.000
0.000 4.177 0.000
-0.787 0.000 15.636
In Se Cl
10 10 2
direct
0.049 0.250 0.151 In
0.130 0.250 0.563 In
0.232 0.750 0.792 In
0.339 0.750 0.054 In
0.393 0.250 0.356 In
0.607 0.750 0.644 In
0.661 0.250 0.946 In
0.768 0.250 0.208 In
0.870 0.750 0.437 In
0.951 0.750 0.849 In
0.041 0.250 0.397 Se
0.163 0.250 0.999 Se
0.211 0.750 0.210 Se
0.320 0.250 0.696 Se
0.467 0.750 0.898 Se
0.533 0.250 0.102 Se
0.680 0.750 0.304 Se
0.789 0.250 0.790 Se
0.837 0.750 0.001 Se
0.959 0.750 0.603 Se
0.327 0.750 0.502 Cl
0.673 0.250 0.498 Cl
```



For V6Si7Ni16, a DFT-relaxed cell (PBE, the Materials Project) gives the theoretical powder XRD pattern in this record (Cu Kα, 1.54184 Å).
No peak broadening, texture or thermal motion is included.

Principal peaks in the range 2θ = 15–90°, in order of rising 2θ:
d 2.762, intensity 21; d 2.255, intensity 18; d 2.126, intensity 100; d 1.953, intensity 96; d 1.867, intensity 35; d 1.841, intensity 18; d 1.302, intensity 19; d 1.276, intensity 12; d 1.213, intensity 14; d 1.110, intensity 25

Atomic structure:
```
V6Si7Ni16
1.0
0.000 5.524 5.524
5.524 0.000 5.524
5.524 5.524 0.000
V Si Ni
6 7 16
direct
0.191 0.191 0.809 V
0.191 0.809 0.191 V
0.191 0.809 0.809 V
0.809 0.191 0.191 V
0.809 0.191 0.809 V
0.809 0.809 0.191 V
0.000 0.000 0.500 Si
0.000 0.500 0.000 Si
0.000 0.500 0.500 Si
0.500 0.000 0.000 Si
0.500 0.000 0.500 Si
0.500 0.500 0.000 Si
0.500 0.500 0.500 Si
0.147 0.618 0.618 Ni
0.166 0.166 0.166 Ni
0.166 0.166 0.502 Ni
0.166 0.502 0.166 Ni
0.382 0.382 0.382 Ni
0.382 0.382 0.853 Ni
0.382 0.853 0.382 Ni
0.498 0.834 0.834 Ni
0.502 0.166 0.166 Ni
0.618 0.147 0.618 Ni
0.618 0.618 0.147 Ni
0.618 0.618 0.618 Ni
0.834 0.498 0.834 Ni
0.834 0.834 0.498 Ni
0.834 0.834 0.834 Ni
0.853 0.382 0.382 Ni
```



For Te4Mo3WSe2S2, a DFT-relaxed cell (PBE, the Materials Project) gives the theoretical powder XRD pattern in this record (Cu Kα, 1.54184 Å).
No peak broadening, texture or thermal motion is included.

Principal peaks in the range 2θ = 15–90°, in order of rising 2θ:
d 2.938, intensity 65; d 2.749, intensity 14; d 2.512, intensity 100; d 2.341, intensity 18; d 2.092, intensity 56; d 2.014, intensity 19; d 1.698, intensity 34; d 1.407, intensity 16; d 1.318, intensity 12; d 1.248, intensity 16

Atomic structure:
```
Te4Mo3WSe2S2
1.0
3.396 0.000 0.000
-1.698 2.941 0.000
0.000 0.000 38.680
Te Mo W Se S
4 3 1 2 2
direct
0.000 0.000 0.000 Te
0.000 0.000 0.097 Te
0.333 0.667 0.436 Te
0.333 0.667 0.533 Te
0.000 0.000 0.485 Mo
0.333 0.667 0.048 Mo
0.333 0.667 0.673 Mo
0.000 0.000 0.861 W
0.000 0.000 0.630 Se
0.000 0.000 0.715 Se
0.333 0.667 0.822 S
0.333 0.667 0.900 S
```



For SbO2, a DFT-relaxed cell (PBE, the Materials Project) gives the theoretical powder XRD pattern in this record (Cu Kα, 1.54184 Å).
No peak broadening, texture or thermal motion is included.

Principal peaks in the range 2θ = 15–90°, in order of rising 2θ:
d 3.523, intensity 33; d 3.136, intensity 100; d 2.978, intensity 26; d 2.527, intensity 10; d 2.457, intensity 11; d 1.895, intensity 17; d 1.822, intensity 10; d 1.748, intensity 20; d 1.740, intensity 12; d 1.502, intensity 11

Atomic structure:
```
SbO2
1.0
5.582 0.000 0.000
0.000 11.914 0.000
0.000 0.000 4.913
Sb O
8 16
direct
0.120 0.250 0.250 Sb
0.250 0.000 0.713 Sb
0.250 0.500 0.787 Sb
0.380 0.750 0.250 Sb
0.620 0.250 0.750 Sb
0.750 0.000 0.287 Sb
0.750 0.500 0.213 Sb
0.880 0.750 0.750 Sb
0.080 0.095 0.418 O
0.080 0.405 0.082 O
0.135 0.688 0.503 O
0.135 0.812 0.997 O
0.365 0.188 0.997 O
0.365 0.312 0.503 O
0.420 0.595 0.082 O
0.420 0.905 0.418 O
0.580 0.095 0.582 O
0.580 0.405 0.918 O
0.635 0.688 0.497 O
0.635 0.812 0.003 O
0.865 0.188 0.003 O
0.865 0.312 0.497 O
0.920 0.595 0.918 O
0.920 0.905 0.582 O
```